Diffraction record for LaNi6P4. The XRD peak list is simulated, not measured: it uses a cell relaxed with PBE and λ = 1.5418 Å (Cu Kα).
Neutral-atom scattering factors, no anomalous dispersion.

Principal peaks in the range 2θ = 10–90°, sorted by position:
(hkl)  Position (°2θ)  I (rel.)
1 1 0  20.00  26
0 0 2  22.56  42
2 1 1  33.90  100
2 0 2  36.60  88
1 0 3  37.09  72
2 2 0  40.65  50
3 0 1  44.82  70
2 2 2  46.99  46
2 0 4  55.02  49
3 2 3  64.17  26

Structure:
```
data_LaNi6P4
_cell_length_a 6.277
_cell_length_b 6.277
_cell_length_c 7.883
_cell_angle_alpha 90.00
_cell_angle_beta 90.00
_cell_angle_gamma 90.00
_symmetry_space_group_name_H-M 'I -4 2 m'
_symmetry_Int_Tables_number 121
_symmetry_space_group_name_Hall 'I -4 2'
loop_
_atom_site_label
_atom_site_fract_x
_atom_site_fract_y
_atom_site_fract_z
La1 0.000 0.000 0.000
Ni1 0.000 0.500 0.000
Ni2 0.148 0.148 0.625
P1 0.205 0.205 0.347
```

Diffraction record for NdHoTlGa. The XRD peak list is simulated, not measured: it uses a cell relaxed with PBE and λ = 1.5418 Å (Cu Kα).
Neutral-atom scattering factors, no anomalous dispersion.

Principal peaks in the range 2θ = 10–90°, sorted by position:
(hkl)  Position (°2θ)  I (rel.)
0 0 1  11.49  9
1 0 1  26.86  14
1 0 2  33.69  100
1 1 0  34.48  49
0 0 4  47.21  9
2 0 0  49.56  18
1 1 4  59.75  17
2 1 2  61.27  36
2 0 4  70.85  10
3 1 0  83.01  8

Structure:
```
data_NdHoTlGa
_cell_length_a 3.679
_cell_length_b 3.679
_cell_length_c 7.702
_cell_angle_alpha 90.00
_cell_angle_beta 90.00
_cell_angle_gamma 90.00
_symmetry_space_group_name_H-M 'P 4 m m'
_symmetry_Int_Tables_number 99
_symmetry_space_group_name_Hall 'P 4 -2'
loop_
_atom_site_label
_atom_site_fract_x
_atom_site_fract_y
_atom_site_fract_z
Nd1 0.000 0.000 0.000
Ho1 0.000 0.000 0.466
Tl1 0.500 0.500 0.719
Ga1 0.500 0.500 0.246
```